No. 1
Simulated PXRD pattern of CaMnO3 for a wavelength of 1.5418 Å, from a cell relaxed with GGA+U.
Intensities are scaled so that the largest is 100.

a = 5.3909 Å, b = 5.3909 Å, c = 9.2176 Å
α = 90.00°, β = 90.00°, γ = 120.00°
Positions (direct):
1 Ca 0.0000 0.0000 0.0000
2 Ca 0.0000 0.0000 0.5000
3 Ca 0.3333 0.6667 0.2500
4 Ca 0.6667 0.3333 0.7500
5 Mn 0.3333 0.6667 0.6137
6 Mn 0.3333 0.6667 0.8863
7 Mn 0.6667 0.3333 0.1137
8 Mn 0.6667 0.3333 0.3863
9 O 0.0000 0.5000 0.0000
10 O 0.0000 0.5000 0.5000
11 O 0.1763 0.3525 0.7500
12 O 0.1763 0.8237 0.7500
13 O 0.3525 0.1763 0.2500
14 O 0.5000 0.0000 0.0000
15 O 0.5000 0.0000 0.5000
16 O 0.5000 0.5000 0.0000
17 O 0.5000 0.5000 0.5000
18 O 0.6475 0.8237 0.7500
19 O 0.8237 0.1763 0.2500
20 O 0.8237 0.6475 0.2500

Top 10 peaks for 10° ≤ 2θ ≤ 90°, in order of falling intensity:
33.2°, d = 2.695 Å, I 100; 35.0°, d = 2.567 Å, I 67; 49.0°, d = 1.859 Å, I 57; 43.5°, d = 2.082 Å, I 53; 21.3°, d = 4.165 Å, I 47; 19.0°, d = 4.669 Å, I 36; 60.5°, d = 1.530 Å, I 27; 69.8°, d = 1.348 Å, I 27; 59.4°, d = 1.556 Å, I 17; 73.9°, d = 1.283 Å, I 14

---

No. 2
Simulated PXRD pattern of CaMn2O4 for a wavelength of 1.5418 Å, from a cell relaxed with GGA+U.
Intensities are scaled so that the largest is 100.

a = 6.1996 Å, b = 6.2485 Å, c = 11.0979 Å
α = 74.51°, β = 73.82°, γ = 60.27°
Positions (direct):
1 Ca 0.0000 0.0000 0.0000
2 Ca 0.1709 0.2005 0.4216
3 Ca 0.4821 0.4987 0.5000
4 Ca 0.6887 0.7012 0.9213
5 Mn 0.3680 0.3983 0.8443
6 Mn 0.4231 0.9478 0.6743
7 Mn 0.4353 0.4491 0.1738
8 Mn 0.4362 0.9445 0.1746
9 Mn 0.8715 0.8979 0.3444
10 Mn 0.9270 0.4420 0.6755
11 Mn 0.9286 0.9498 0.6708
12 Mn 0.9320 0.4510 0.1707
13 O 0.0281 0.0496 0.7893
14 O 0.0354 0.6011 0.7636
15 O 0.0800 0.1007 0.2646
16 O 0.0815 0.5558 0.2707
17 O 0.2597 0.3483 0.0476
18 O 0.2682 0.2846 0.5824
19 O 0.2700 0.8550 0.5767
20 O 0.3456 0.7862 0.0817
21 O 0.5356 0.1019 0.2692
22 O 0.5755 0.0540 0.7693
23 O 0.5765 0.6017 0.7684
24 O 0.6154 0.5502 0.2892
25 O 0.7798 0.3562 0.0761
26 O 0.7822 0.7893 0.0810
27 O 0.8279 0.8485 0.5458
28 O 0.8298 0.2878 0.5817

Top 10 peaks for 10° ≤ 2θ ≤ 90°, in order of falling intensity:
33.5°, d = 2.671 Å, I 100; 16.8°, d = 5.265 Å, I 71; 33.8°, d = 2.650 Å, I 60; 40.7°, d = 2.216 Å, I 53; 33.1°, d = 2.703 Å, I 53; 59.1°, d = 1.562 Å, I 52; 33.0°, d = 2.716 Å, I 51; 57.7°, d = 1.598 Å, I 45; 27.9°, d = 3.196 Å, I 41; 33.4°, d = 2.680 Å, I 39

---

No. 3
Simulated PXRD pattern of CaMn3O7 for a wavelength of 1.5418 Å, from a cell relaxed with GGA+U.
Intensities are scaled so that the largest is 100.

a = 10.4350 Å, b = 10.5888 Å, c = 5.4374 Å
α = 90.00°, β = 90.00°, γ = 90.00°
Positions (direct):
1 Ca 0.0562 0.2500 0.1814
2 Ca 0.4438 0.7500 0.6814
3 Ca 0.5562 0.2500 0.3186
4 Ca 0.9438 0.7500 0.8186
5 Mn 0.2057 0.5247 0.6976
6 Mn 0.2057 0.9753 0.6976
7 Mn 0.2282 0.7500 0.1936
8 Mn 0.2718 0.2500 0.6936
9 Mn 0.2943 0.0247 0.1976
10 Mn 0.2943 0.4753 0.1976
11 Mn 0.7057 0.5247 0.8024
12 Mn 0.7057 0.9753 0.8024
13 Mn 0.7282 0.7500 0.3064
14 Mn 0.7718 0.2500 0.8064
15 Mn 0.7943 0.0247 0.3024
16 Mn 0.7943 0.4753 0.3024
17 O 0.0508 0.5724 0.7159
18 O 0.0508 0.9276 0.7159
19 O 0.0644 0.7500 0.1771
20 O 0.2187 0.1189 0.4610
21 O 0.2187 0.3811 0.4610
22 O 0.2215 0.1198 0.9380
23 O 0.2215 0.3802 0.9380
24 O 0.2785 0.6198 0.4380
25 O 0.2785 0.8802 0.4380
26 O 0.2813 0.6189 0.9610
27 O 0.2813 0.8811 0.9610
28 O 0.4356 0.2500 0.6771
29 O 0.4492 0.0724 0.2159
30 O 0.4492 0.4276 0.2159
31 O 0.5508 0.5724 0.7841
32 O 0.5508 0.9276 0.7841
33 O 0.5644 0.7500 0.3229
34 O 0.7187 0.1189 0.0390
35 O 0.7187 0.3811 0.0390
36 O 0.7215 0.1198 0.5620
37 O 0.7215 0.3802 0.5620
38 O 0.7785 0.6198 0.0620
39 O 0.7785 0.8802 0.0620
40 O 0.7813 0.6189 0.5390
41 O 0.7813 0.8811 0.5390
42 O 0.9356 0.2500 0.8229
43 O 0.9492 0.0724 0.2841
44 O 0.9492 0.4276 0.2841

Top 10 peaks for 10° ≤ 2θ ≤ 90°, in order of falling intensity:
17.0°, d = 5.217 Å, I 100; 29.1°, d = 3.068 Å, I 70; 25.1°, d = 3.547 Å, I 38; 30.2°, d = 2.961 Å, I 26; 58.4°, d = 1.581 Å, I 26; 48.0°, d = 1.897 Å, I 22; 48.8°, d = 1.866 Å, I 22; 34.4°, d = 2.609 Å, I 21; 34.8°, d = 2.575 Å, I 20; 23.9°, d = 3.716 Å, I 20

---

No. 4
Simulated PXRD pattern of CaMn7O12 for a wavelength of 1.5418 Å, from a cell relaxed with GGA+U.
Intensities are scaled so that the largest is 100.

a = 6.4913 Å, b = 6.4913 Å, c = 6.4913 Å
α = 109.47°, β = 109.47°, γ = 109.47°
Positions (direct):
1 Ca 0.0000 0.0000 0.0000
2 Mn 0.0000 0.0000 0.5000
3 Mn 0.0000 0.5000 0.0000
4 Mn 0.0000 0.5000 0.5000
5 Mn 0.5000 0.0000 0.0000
6 Mn 0.5000 0.0000 0.5000
7 Mn 0.5000 0.5000 0.0000
8 Mn 0.5000 0.5000 0.5000
9 O 0.1302 0.3086 0.8216
10 O 0.1784 0.4870 0.3086
11 O 0.1784 0.8698 0.6914
12 O 0.3086 0.1784 0.4870
13 O 0.3086 0.8216 0.1302
14 O 0.4870 0.3086 0.1784
15 O 0.5130 0.6914 0.8216
16 O 0.6914 0.1784 0.8698
17 O 0.6914 0.8216 0.5130
18 O 0.8216 0.1302 0.3086
19 O 0.8216 0.5130 0.6914
20 O 0.8698 0.6914 0.1784

Top 10 peaks for 10° ≤ 2θ ≤ 90°, in order of falling intensity:
33.8°, d = 2.650 Å, I 100; 60.5°, d = 1.530 Å, I 50; 48.6°, d = 1.874 Å, I 28; 81.2°, d = 1.185 Å, I 16; 71.2°, d = 1.325 Å, I 12; 38.0°, d = 2.370 Å, I 8; 45.3°, d = 2.003 Å, I 4; 29.2°, d = 3.060 Å, I 2; 73.7°, d = 1.285 Å, I 2; 16.7°, d = 5.300 Å, I 2

---

No. 5
Simulated PXRD pattern of CaMn5O7 for a wavelength of 1.5418 Å, from a cell relaxed with GGA+U.
Intensities are scaled so that the largest is 100.

a = 5.4374 Å, b = 5.4374 Å, c = 18.2778 Å
α = 90.00°, β = 90.00°, γ = 146.20°
Positions (direct):
1 Ca 0.2018 0.7982 0.7500
2 Ca 0.7982 0.2018 0.2500
3 Mn 0.0000 0.0000 0.0000
4 Mn 0.0000 0.0000 0.5000
5 Mn 0.2766 0.7234 0.0739
6 Mn 0.2766 0.7234 0.4261
7 Mn 0.4594 0.5406 0.6533
8 Mn 0.4594 0.5406 0.8467
9 Mn 0.5406 0.4594 0.1533
10 Mn 0.5406 0.4594 0.3467
11 Mn 0.7234 0.2766 0.5739
12 Mn 0.7234 0.2766 0.9261
13 O 0.0928 0.9072 0.6048
14 O 0.0928 0.9072 0.8952
15 O 0.1837 0.8163 0.1644
16 O 0.1837 0.8163 0.3356
17 O 0.3519 0.6481 0.5288
18 O 0.3519 0.6481 0.9712
19 O 0.4527 0.5473 0.2500
20 O 0.5473 0.4527 0.7500
21 O 0.6481 0.3519 0.0288
22 O 0.6481 0.3519 0.4712
23 O 0.8163 0.1837 0.6644
24 O 0.8163 0.1837 0.8356
25 O 0.9072 0.0928 0.1048
26 O 0.9072 0.0928 0.3952

Top 10 peaks for 10° ≤ 2θ ≤ 90°, in order of falling intensity:
39.8°, d = 2.264 Å, I 100; 34.1°, d = 2.629 Å, I 99; 41.4°, d = 2.181 Å, I 79; 33.1°, d = 2.709 Å, I 49; 29.9°, d = 2.991 Å, I 32; 58.4°, d = 1.581 Å, I 32; 58.8°, d = 1.570 Å, I 31; 35.6°, d = 2.522 Å, I 30; 38.6°, d = 2.334 Å, I 27; 69.4°, d = 1.355 Å, I 27